This entry pairs a crystal structure of BaPaIr2 with its simulated powder diffraction line list. Radiation: Cu Kα (λ = 1.5418 Å). Structure: a PBE-relaxed structure.
No peak broadening, texture or thermal motion is included.

Peak list (10 most intense, 5° ≤ 2θ ≤ 70°, by intensity)
2theta	Rel. int.	h k l
39.59	100	1 0 3
9.36	80	0 0 1
27.07	63	1 0 0
47.82	38	1 1 0
33.15	30	1 0 2
63.76	25	2 0 3
28.70	24	1 0 1
65.72	10	1 0 6
48.84	10	1 1 1
55.81	9	2 0 0

Structure:
```
data_BaPaIr2
_chemical_formula_sum 'Ba1 Pa1 Ir2'
_cell_length_a 3.8040
_cell_length_b 3.8040
_cell_length_c 9.4492
_cell_angle_alpha 90.00
_cell_angle_beta 90.00
_cell_angle_gamma 120.00
_symmetry_space_group_name_H-M 'P -6 m 2'
_symmetry_Int_Tables_number 187
_symmetry_space_group_name_Hall 'P -6 2'
loop_
_atom_site_label
_atom_site_type_symbol
_atom_site_fract_x
_atom_site_fract_y
_atom_site_fract_z
Ba1 Ba 0.0000 0.0000 0.0000
Pa1 Pa 0.6667 0.3333 0.5000
Ir1 Ir 0.0000 0.0000 0.3260
```